Theoretical powder diffraction line list
Compound: LiHoS2O8
Radiation: Cu Kα, 1.54184 Å
Structure: a DFT-relaxed cell (PBE, the Materials Project)
Kinematic intensities with the Lorentz-polarization factor, no thermal factor.

Peak list (10 most intense, 2θ = 10–90°, sorted by position)
2θ = 16.59°, intensity 100.0, (1 1 0)
2θ = 19.16°, intensity 90.2, (1 0 1)
2θ = 22.51°, intensity 41.0, (1 1 1)
2θ = 30.52°, intensity 80.2, (0 0 2)
2θ = 34.90°, intensity 21.8, (1 1 2)
2θ = 38.90°, intensity 46.3, (3 0 1)
2θ = 45.97°, intensity 43.4, (2 2 2)
2θ = 48.11°, intensity 20.4, (4 0 0)
2θ = 49.18°, intensity 26.0, (3 1 2)
2θ = 54.23°, intensity 21.9, (2 1 3)

Structure:
abc: 7.5572 7.5572 5.8649
angles: 90.00 90.00 90.00
Space group P-4n2 (No. 118)
Asymmetric unit:
Li (0.0000, 0.5000, 0.2500) (multiplicity 2)
Ho (0.0000, 0.5000, 0.7500) (multiplicity 2)
S (0.2229, 0.2771, 0.2500) (multiplicity 4)
O (0.0872, 0.3169, 0.0664) (multiplicity 8)
O (0.0964, 0.7914, 0.6551) (multiplicity 8)